Diffraction record for Pr3ZnRu. The X-ray powder pattern is calculated, not measured: it uses a structure optimized by DFT (PBE) and Cu Kα (λ = 1.5418 Å).
Kinematic intensities with the Lorentz-polarization factor, no thermal factor.

Cell and atoms:
Cell: 6.619 10.079 16.034 Å, 90.00 90.00 90.00°
Space group Fmmm (No. 69)
Symmetry-distinct sites (fractional):
Pr1 0.000 0.000 0.196 (multiplicity 8)
Pr2 0.000 0.188 0.394 (multiplicity 16)
Zn1 0.191 0.000 0.000 (multiplicity 8)
Ru1 0.250 0.250 0.250 (multiplicity 8)

Most intense lines, 15° ≤ 2θ ≤ 90°, sorted by position:
Position (°2θ), intensity
26.9, 24
30.4, 77
32.3, 63
34.3, 100
35.2, 48
38.1, 38
39.6, 31
55.6, 45


Diffraction record for Pr3Zn9Ru2. The X-ray powder pattern is calculated, not measured: it uses a structure optimized by DFT (PBE) and Cu Kα (λ = 1.5418 Å).
Kinematic intensities with the Lorentz-polarization factor, no thermal factor.

Cell and atoms:
Cell: 4.409 9.424 12.716 Å, 90.00 90.00 90.00°
Space group Immm (No. 71)
Symmetry-distinct sites (fractional):
Pr1 0.000 0.000 0.000 (multiplicity 2)
Pr2 0.000 0.000 0.305 (multiplicity 4)
Zn1 0.000 0.281 0.121 (multiplicity 8)
Zn2 0.000 0.356 0.343 (multiplicity 8)
Zn3 0.000 0.500 0.000 (multiplicity 2)
Ru1 0.000 0.178 0.500 (multiplicity 4)

Most intense lines, 15° ≤ 2θ ≤ 90°, sorted by position:
Position (°2θ), intensity
29.2, 18
35.0, 100
35.6, 33
36.1, 22
37.9, 25
40.9, 41
45.5, 19
55.3, 19


Diffraction record for Pr4Zn3Ru. The X-ray powder pattern is calculated, not measured: it uses a structure optimized by DFT (PBE) and Cu Kα (λ = 1.5418 Å).
Kinematic intensities with the Lorentz-polarization factor, no thermal factor.

Cell and atoms:
Cell: 3.645 3.645 14.967 Å, 90.00 90.00 90.00°
Space group P4/mmm (No. 123)
Symmetry-distinct sites (fractional):
Pr1 0.000 0.000 0.115 (multiplicity 2)
Pr2 0.000 0.000 0.374 (multiplicity 2)
Zn1 0.500 0.500 0.249 (multiplicity 2)
Zn2 0.500 0.500 0.500 (multiplicity 1)
Ru1 0.500 0.500 0.000 (multiplicity 1)

Most intense lines, 15° ≤ 2θ ≤ 90°, sorted by position:
Position (°2θ), intensity
24.4, 10
34.3, 100
34.8, 49
48.7, 9
50.1, 17
61.2, 17
62.1, 35
72.4, 10